The following is a calculated powder X-ray diffraction pattern of Tb2NdC3. It was derived from the PBE geometry in Alexandria, using Cu Kα.
No peak broadening, texture or thermal motion is included.

Crystal structure
a = 5.760 Å, b = 10.524 Å, c = 7.561 Å
α = 90.00°, β = 90.00°, γ = 90.00°
Space group Imma (No. 74)
Unique sites:
Tb1 0.000 0.078 0.166 x8
Nd1 0.000 0.250 0.540 x4
C1 0.118 0.000 0.500 x8
C2 0.250 0.250 0.250 x4

Principal peaks in the range 10 to 90 degrees two-theta, low angle first:
2θ = 14.4°, I = 49, hkl 0 1 1
2θ = 25.8°, I = 100, hkl 1 2 1
2θ = 28.0°, I = 80, hkl 0 3 1
2θ = 29.5°, I = 63, hkl 1 1 2
2θ = 31.1°, I = 71, hkl 2 0 0
2θ = 38.3°, I = 33, hkl 1 3 2
2θ = 39.0°, I = 72, hkl 1 0 3
2θ = 39.5°, I = 34, hkl 1 4 1
2θ = 42.3°, I = 61, hkl 2 3 1
2θ = 43.1°, I = 28, hkl 2 2 2
2θ = 52.2°, I = 54, hkl 0 6 0
2θ = 57.7°, I = 37, hkl 1 3 4

The following is a calculated powder X-ray diffraction pattern of Tb2NdW2C4. It was derived from the PBE geometry in Alexandria, using Cu Kα.
No peak broadening, texture or thermal motion is included.

Crystal structure
a = 16.962 Å, b = 3.509 Å, c = 5.619 Å
α = 90.00°, β = 93.40°, γ = 90.00°
Space group C2/m (No. 12)
Unique sites:
Tb1 0.161 0.000 0.080 x4
Nd1 0.000 0.000 0.500 x2
W1 0.188 0.500 0.564 x4
C1 0.094 0.500 0.354 x4
C2 0.235 0.000 0.722 x4

Principal peaks in the range 10 to 90 degrees two-theta, low angle first:
2θ = 10.4°, I = 91, hkl 2 0 0
2θ = 15.8°, I = 26, hkl 0 0 1
2θ = 27.1°, I = 19, hkl 4 0 1
2θ = 30.3°, I = 30, hkl 1 1 -1
2θ = 31.7°, I = 45, hkl 6 0 0
2θ = 31.9°, I = 29, hkl 0 0 2
2θ = 33.6°, I = 100, hkl 3 1 -1
2θ = 34.3°, I = 20, hkl 2 0 2
2θ = 34.5°, I = 77, hkl 3 1 1
2θ = 41.0°, I = 21, hkl 5 1 1
2θ = 45.5°, I = 19, hkl 7 1 0
2θ = 56.3°, I = 19, hkl 1 1 3

The following is a calculated powder X-ray diffraction pattern of Nd2Tc5C4. It was derived from the PBE geometry in Alexandria, using Cu Kα.
No peak broadening, texture or thermal motion is included.

Crystal structure
a = 5.444 Å, b = 10.353 Å, c = 10.886 Å
α = 90.00°, β = 90.00°, γ = 90.00°
Space group Fmmm (No. 69)
Unique sites:
Nd1 0.000 0.000 0.152 x8
Tc1 0.000 0.000 0.500 x4
Tc2 0.250 0.250 0.000 x8
Tc3 0.250 0.250 0.250 x8
C1 0.000 0.157 0.366 x16

Principal peaks in the range 10 to 90 degrees two-theta, low angle first:
2θ = 30.8°, I = 50, hkl 1 1 3
2θ = 34.7°, I = 41, hkl 0 4 0
2θ = 37.3°, I = 100, hkl 2 2 0
2θ = 39.7°, I = 33, hkl 1 3 3
2θ = 47.2°, I = 19, hkl 2 0 4
2θ = 53.7°, I = 11, hkl 1 5 3
2θ = 57.5°, I = 9, hkl 3 1 3
2θ = 59.9°, I = 15, hkl 2 4 4
2θ = 63.9°, I = 23, hkl 2 6 0
2θ = 69.0°, I = 9, hkl 4 0 0
2θ = 79.6°, I = 11, hkl 4 4 0
2θ = 81.2°, I = 13, hkl 2 2 8